# 1
Diffraction record for Li7SiPd4. The X-ray diffraction stick pattern is theoretical, not measured: it uses a crystal structure in Alexandria, relaxed with GGA-PBE and Cu Kα X-rays.

Cell and atoms:
Cell: 5.787 5.787 7.490 Å, 100.27 100.27 47.32°
Element x y z (fractional)
1 Li 0.000 0.000 0.000
2 Li 0.102 0.102 0.606
3 Li 0.243 0.243 0.917
4 Li 0.352 0.352 0.585
5 Li 0.648 0.648 0.415
6 Li 0.757 0.757 0.083
7 Li 0.898 0.898 0.394
8 Si 0.500 0.500 0.000
9 Pd 0.159 0.159 0.272
10 Pd 0.411 0.411 0.248
11 Pd 0.589 0.589 0.752
12 Pd 0.841 0.841 0.728

Principal peaks in the range 2θ from 10° to 90°, in order of rising 2θ:
2theta  d_spacing  I_rel
23.37  3.806  64
24.23  3.673  73
25.06  3.553  100
32.22  2.778  21
32.63  2.744  28
38.77  2.322  36
38.94  2.313  24
44.15  2.051  23
45.39  1.998  24
46.25  1.963  25



# 2
Diffraction record for TbPr4Y8. The X-ray diffraction stick pattern is theoretical, not measured: it uses a crystal structure in Alexandria, relaxed with GGA-PBE and Cu Kα X-rays.

Cell and atoms:
Cell: 7.875 7.875 7.875 Å, 90.07 90.07 90.07°
Element x y z (fractional)
1 Tb 0.000 0.000 0.000
2 Pr 0.000 0.000 0.500
3 Pr 0.000 0.500 0.000
4 Pr 0.500 0.000 0.000
5 Pr 0.500 0.500 0.500
6 Y 0.259 0.740 0.740
7 Y 0.260 0.260 0.260
8 Y 0.260 0.260 0.741
9 Y 0.260 0.741 0.260
10 Y 0.740 0.259 0.740
11 Y 0.740 0.740 0.259
12 Y 0.740 0.740 0.740
13 Y 0.741 0.260 0.260

Principal peaks in the range 2θ from 10° to 90°, in order of rising 2θ:
2theta  d_spacing  I_rel
15.91  5.569  7
19.52  4.547  19
25.29  3.522  7
32.15  2.784  100
37.89  2.375  10
46.10  1.969  18
50.52  1.807  5
57.31  1.608  36
67.25  1.392  11
76.50  1.245  15



# 3
Diffraction record for Be2Rh3. The X-ray diffraction stick pattern is theoretical, not measured: it uses a crystal structure in Alexandria, relaxed with GGA-PBE and Cu Kα X-rays.

Cell and atoms:
Cell: 3.827 3.827 4.835 Å, 90.00 90.00 120.00°
Element x y z (fractional)
1 Be 0.333 0.667 0.339
2 Be 0.667 0.333 0.661
3 Rh 0.000 0.000 0.500
4 Rh 0.333 0.667 0.844
5 Rh 0.667 0.333 0.156

Principal peaks in the range 2θ from 10° to 90°, in order of rising 2θ:
2theta  d_spacing  I_rel
32.76  2.734  100
46.50  1.953  43
47.52  1.913  40
58.92  1.568  18
68.67  1.367  13
77.43  1.233  15
78.95  1.213  15
85.52  1.136  7
87.76  1.112  14
88.51  1.105  7